Calculated powder X-ray diffraction pattern of La8Ni3Cl4 for Cu Kα, from a structure optimized by DFT (GGA-PBE).
Intensities are scaled so that the largest is 100.

Principal peaks in the range 10° ≤ 2θ ≤ 90°, sorted by position:
2θ 11.77, d = 7.521 Å, I = 34.1; 2θ 23.66, d = 3.760 Å, I = 13.6; 2θ 25.65, d = 3.474 Å, I = 61.9; 2θ 29.14, d = 3.065 Å, I = 100.0; 2θ 37.21, d = 2.416 Å, I = 29.0; 2θ 40.41, d = 2.232 Å, I = 33.5; 2θ 42.90, d = 2.108 Å, I = 46.8; 2θ 51.08, d = 1.788 Å, I = 14.3; 2θ 52.70, d = 1.737 Å, I = 18.2; 2θ 70.22, d = 1.340 Å, I = 14.6

Structural model:
```
data_La8Ni3Cl4
_chemical_formula_sum 'La24 Ni9 Cl12'
_space_group_name_H-M_alt 'R -3 m'
_space_group_IT_number 166
_space_group_name_Hall '-R 3 2"'
_cell_length_a 8.4317
_cell_length_b 8.4317
_cell_length_c 22.5619
_cell_angle_alpha 90.00
_cell_angle_beta 90.00
_cell_angle_gamma 120.00
loop_
_atom_site_label
_atom_site_type_symbol
_atom_site_fract_x
_atom_site_fract_y
_atom_site_fract_z
_atom_site_occupancy
La1 La 0.0000 0.0000 0.2272 1
La2 La 0.0145 0.5072 0.7619 1
Ni1 Ni 0.0000 0.5000 0.5000 1
Cl1 Cl 0.0000 0.0000 0.0000 1
Cl2 Cl 0.0000 0.0000 0.3575 1
Cl3 Cl 0.0000 0.0000 0.5000 1
```

---

Calculated powder X-ray diffraction pattern of Cd4In3 for Cu Kα, from a structure optimized by DFT (GGA-PBE).
Intensities are scaled so that the largest is 100.

Principal peaks in the range 10° ≤ 2θ ≤ 90°, sorted by position:
2θ 31.98, d = 2.799 Å, I = 100.0; 2θ 33.78, d = 2.653 Å, I = 43.7; 2θ 35.79, d = 2.509 Å, I = 75.9; 2θ 36.81, d = 2.442 Å, I = 35.2; 2θ 46.61, d = 1.949 Å, I = 17.1; 2θ 50.82, d = 1.797 Å, I = 26.5; 2θ 56.80, d = 1.621 Å, I = 16.4; 2θ 60.82, d = 1.523 Å, I = 15.0; 2θ 63.29, d = 1.469 Å, I = 13.2; 2θ 64.13, d = 1.452 Å, I = 12.3

Structural model:
```
data_Cd4In3
_chemical_formula_sum 'Cd8 In6'
_space_group_name_H-M_alt 'C 1 2/m 1'
_space_group_IT_number 12
_cell_length_a 8.8082
_cell_length_b 4.8834
_cell_length_c 8.6074
_cell_angle_alpha 90.00
_cell_angle_beta 104.67
_cell_angle_gamma 90.00
loop_
_space_group_symop_operation_xyz
'x,y,z'
'-x,-y,-z'
'-x,y,-z'
'x,-y,z'
'x+1/2,y+1/2,z'
'-x+1/2,-y+1/2,-z'
'-x+1/2,y+1/2,-z'
'x+1/2,-y+1/2,z'
loop_
_atom_site_label
_atom_site_type_symbol
_atom_site_fract_x
_atom_site_fract_y
_atom_site_fract_z
_atom_site_occupancy
Cd1 Cd 0.0735 0.0000 0.2317 1
Cd2 Cd 0.2206 0.0000 0.6529 1
In1 In 0.0000 0.5000 0.5000 1
In2 In 0.1396 0.5000 0.9152 1
```

---

Calculated powder X-ray diffraction pattern of Cs2Tl17 for Cu Kα, from a structure optimized by DFT (GGA-PBE).
Intensities are scaled so that the largest is 100.

Principal peaks in the range 10° ≤ 2θ ≤ 90°, sorted by position:
2θ 10.25, d = 8.630 Å, I = 15.6; 2θ 26.78, d = 3.328 Å, I = 15.6; 2θ 27.41, d = 3.253 Å, I = 21.1; 2θ 31.06, d = 2.879 Å, I = 100.0; 2θ 31.28, d = 2.859 Å, I = 22.8; 2θ 31.63, d = 2.829 Å, I = 28.9; 2θ 34.86, d = 2.574 Å, I = 65.3; 2θ 35.03, d = 2.562 Å, I = 19.5; 2θ 55.19, d = 1.664 Å, I = 16.7; 2θ 55.56, d = 1.654 Å, I = 25.2

Structural model:
```
data_Cs2Tl17
_chemical_formula_sum 'Cs6 Tl51'
_space_group_name_H-M_alt 'R -3 m'
_space_group_IT_number 166
_space_group_name_Hall '-R 3 2"'
_cell_length_a 11.5301
_cell_length_b 11.5301
_cell_length_c 17.1561
_cell_angle_alpha 90.00
_cell_angle_beta 90.00
_cell_angle_gamma 120.00
loop_
_atom_site_label
_atom_site_type_symbol
_atom_site_fract_x
_atom_site_fract_y
_atom_site_fract_z
_atom_site_occupancy
Cs1 Cs 0.0000 0.0000 0.1612 1
Tl1 Tl 0.0000 0.0000 0.4025 1
Tl2 Tl 0.0000 0.2897 0.5000 1
Tl3 Tl 0.0000 0.5000 0.0000 1
Tl4 Tl 0.0011 0.5006 0.6462 1
```

---

Calculated powder X-ray diffraction pattern of NbCuIrRu for Cu Kα, from a structure optimized by DFT (GGA-PBE).
Intensities are scaled so that the largest is 100.

Principal peaks in the range 10° ≤ 2θ ≤ 90°, sorted by position:
2θ 40.34, d = 2.236 Å, I = 100.0; 2θ 45.13, d = 2.009 Å, I = 18.1; 2θ 45.91, d = 1.976 Å, I = 17.2; 2θ 49.64, d = 1.837 Å, I = 13.6; 2θ 66.35, d = 1.409 Å, I = 11.2; 2θ 69.32, d = 1.356 Å, I = 9.8; 2θ 80.03, d = 1.199 Å, I = 13.1; 2θ 81.16, d = 1.185 Å, I = 12.7; 2θ 86.71, d = 1.123 Å, I = 10.9; 2θ 87.20, d = 1.118 Å, I = 10.8

Structural model:
```
data_NbCuIrRu
_chemical_formula_sum 'Nb1 Cu1 Ir1 Ru1'
_space_group_name_H-M_alt 'P m m m'
_space_group_IT_number 47
_cell_length_a 3.6733
_cell_length_b 3.9530
_cell_length_c 4.0177
_cell_angle_alpha 90.00
_cell_angle_beta 90.00
_cell_angle_gamma 90.00
loop_
_space_group_symop_operation_xyz
'x,y,z'
'-x,-y,-z'
'-x,-y,z'
'x,y,-z'
'x,-y,-z'
'-x,y,z'
'-x,y,-z'
'x,-y,z'
loop_
_atom_site_label
_atom_site_type_symbol
_atom_site_fract_x
_atom_site_fract_y
_atom_site_fract_z
_atom_site_occupancy
Nb1 Nb 0.0000 0.0000 0.0000 1
Cu1 Cu 0.0000 0.5000 0.5000 1
Ir1 Ir 0.5000 0.0000 0.5000 1
Ru1 Ru 0.5000 0.5000 0.0000 1
```

---

Calculated powder X-ray diffraction pattern of Tb4Ho3Er8 for Cu Kα, from a structure optimized by DFT (GGA-PBE).
Intensities are scaled so that the largest is 100.

Principal peaks in the range 10° ≤ 2θ ≤ 90°, sorted by position:
2θ 27.11, d = 3.289 Å, I = 16.2; 2θ 30.24, d = 2.956 Å, I = 25.7; 2θ 30.76, d = 2.907 Å, I = 56.0; 2θ 31.84, d = 2.811 Å, I = 100.0; 2θ 36.61, d = 2.454 Å, I = 73.0; 2θ 52.04, d = 1.757 Å, I = 22.9; 2θ 53.44, d = 1.714 Å, I = 36.8; 2θ 61.68, d = 1.504 Å, I = 16.4; 2θ 62.94, d = 1.477 Å, I = 43.9; 2θ 88.12, d = 1.109 Å, I = 17.6

Structural model:
```
data_Tb4Ho3Er8
_chemical_formula_sum 'Tb12 Ho9 Er24'
_space_group_name_H-M_alt 'R -3 m'
_space_group_IT_number 166
_space_group_name_Hall '-R 3 2"'
_cell_length_a 6.8577
_cell_length_b 6.8577
_cell_length_c 34.8815
_cell_angle_alpha 90.00
_cell_angle_beta 90.00
_cell_angle_gamma 120.00
loop_
_atom_site_label
_atom_site_type_symbol
_atom_site_fract_x
_atom_site_fract_y
_atom_site_fract_z
_atom_site_occupancy
Tb1 Tb 0.0000 0.0000 0.0000 1
Tb2 Tb 0.0000 0.0000 0.1635 1
Tb3 Tb 0.0000 0.0000 0.5000 1
Ho1 Ho 0.0000 0.5000 0.0000 1
Er1 Er 0.0000 0.0000 0.2550 1
Er2 Er 0.0017 0.5008 0.2505 1
```

---

Calculated powder X-ray diffraction pattern of LiHo4Te5 for Cu Kα, from a structure optimized by DFT (GGA-PBE).
Intensities are scaled so that the largest is 100.

Principal peaks in the range 10° ≤ 2θ ≤ 90°, sorted by position:
2θ 12.97, d = 6.823 Å, I = 5.7; 2θ 17.19, d = 5.158 Å, I = 5.5; 2θ 25.28, d = 3.524 Å, I = 4.0; 2θ 29.27, d = 3.052 Å, I = 100.0; 2θ 36.67, d = 2.451 Å, I = 3.0; 2θ 41.87, d = 2.158 Å, I = 75.5; 2θ 51.90, d = 1.762 Å, I = 26.5; 2θ 60.70, d = 1.526 Å, I = 12.2; 2θ 68.79, d = 1.365 Å, I = 33.4; 2θ 76.46, d = 1.246 Å, I = 24.4

Structural model:
```
data_LiHo4Te5
_chemical_formula_sum 'Li2 Ho8 Te10'
_space_group_name_H-M_alt 'I 4'
_space_group_IT_number 79
_cell_length_a 9.6495
_cell_length_b 9.6495
_cell_length_c 6.1034
_cell_angle_alpha 90.00
_cell_angle_beta 90.00
_cell_angle_gamma 90.00
loop_
_space_group_symop_operation_xyz
'x,y,z'
'-y,x,z'
'-x,-y,z'
'y,-x,z'
'x+1/2,y+1/2,z+1/2'
'-y+1/2,x+1/2,z+1/2'
'-x+1/2,-y+1/2,z+1/2'
'y+1/2,-x+1/2,z+1/2'
loop_
_atom_site_label
_atom_site_type_symbol
_atom_site_fract_x
_atom_site_fract_y
_atom_site_fract_z
_atom_site_occupancy
Li1 Li 0.0000 0.0000 0.0000 1
Ho1 Ho 0.0969 0.6971 0.4963 1
Te1 Te 0.0000 0.0000 0.4974 1
Te2 Te 0.0971 0.7102 0.9963 1
```

---

Calculated powder X-ray diffraction pattern of LiCu2Rh4O8 for Cu Kα, from a structure optimized by DFT (GGA-PBE).
Intensities are scaled so that the largest is 100.

Principal peaks in the range 10° ≤ 2θ ≤ 90°, sorted by position:
2θ 17.31, d = 5.124 Å, I = 36.6; 2θ 28.45, d = 3.138 Å, I = 19.6; 2θ 33.49, d = 2.676 Å, I = 100.0; 2θ 35.03, d = 2.562 Å, I = 27.7; 2θ 40.67, d = 2.219 Å, I = 25.7; 2θ 53.67, d = 1.708 Å, I = 40.3; 2θ 58.87, d = 1.569 Å, I = 45.9; 2θ 69.45, d = 1.353 Å, I = 10.4; 2θ 70.37, d = 1.338 Å, I = 12.6; 2θ 83.71, d = 1.155 Å, I = 19.7

Structural model:
```
data_LiCu2Rh4O8
_chemical_formula_sum 'Li4 Cu8 Rh16 O32'
_space_group_name_H-M_alt 'F -4 3 m'
_space_group_IT_number 216
_space_group_name_Hall 'F -4 2 3'
_cell_length_a 8.8743
_cell_length_b 8.8743
_cell_length_c 8.8743
_cell_angle_alpha 90.00
_cell_angle_beta 90.00
_cell_angle_gamma 90.00
loop_
_atom_site_label
_atom_site_type_symbol
_atom_site_fract_x
_atom_site_fract_y
_atom_site_fract_z
_atom_site_occupancy
Li1 Li 0.0000 0.0000 0.0000 1
Cu1 Cu 0.0000 0.0000 0.5000 1
Cu2 Cu 0.2500 0.2500 0.7500 1
Rh1 Rh 0.1319 0.1319 0.1319 1
O1 O 0.1149 0.1149 0.8851 1
O2 O 0.1365 0.1365 0.3635 1
```

---

Calculated powder X-ray diffraction pattern of La3Mg7Hg4 for Cu Kα, from a structure optimized by DFT (GGA-PBE).
Intensities are scaled so that the largest is 100.

Principal peaks in the range 10° ≤ 2θ ≤ 90°, sorted by position:
2θ 21.23, d = 4.184 Å, I = 51.8; 2θ 23.60, d = 3.770 Å, I = 91.8; 2θ 23.81, d = 3.737 Å, I = 71.7; 2θ 30.01, d = 2.978 Å, I = 53.4; 2θ 31.29, d = 2.859 Å, I = 65.4; 2θ 31.79, d = 2.815 Å, I = 94.5; 2θ 32.16, d = 2.783 Å, I = 54.3; 2θ 32.38, d = 2.765 Å, I = 100.0; 2θ 36.92, d = 2.435 Å, I = 81.5; 2θ 40.67, d = 2.219 Å, I = 70.3

Structural model:
```
data_La3Mg7Hg4
_chemical_formula_sum 'La6 Mg14 Hg8'
_space_group_name_H-M_alt 'C 1 2/m 1'
_space_group_IT_number 12
_cell_length_a 17.4926
_cell_length_b 4.8699
_cell_length_c 10.0793
_cell_angle_alpha 90.00
_cell_angle_beta 123.87
_cell_angle_gamma 90.00
loop_
_space_group_symop_operation_xyz
'x,y,z'
'-x,-y,-z'
'-x,y,-z'
'x,-y,z'
'x+1/2,y+1/2,z'
'-x+1/2,-y+1/2,-z'
'-x+1/2,y+1/2,-z'
'x+1/2,-y+1/2,z'
loop_
_atom_site_label
_atom_site_type_symbol
_atom_site_fract_x
_atom_site_fract_y
_atom_site_fract_z
_atom_site_occupancy
La1 La 0.0000 0.0000 0.0000 1
La2 La 0.2008 0.5000 0.7071 1
Mg1 Mg 0.0000 0.0000 0.5000 1
Mg2 Mg 0.0045 0.5000 0.3115 1
Mg3 Mg 0.1557 0.0000 0.4292 1
Mg4 Mg 0.1716 0.5000 0.0199 1
Hg1 Hg 0.1276 0.0000 0.8437 1
Hg2 Hg 0.1544 0.5000 0.2766 1
```

---

Calculated powder X-ray diffraction pattern of KNaPb for Cu Kα, from a structure optimized by DFT (GGA-PBE).
Intensities are scaled so that the largest is 100.

Principal peaks in the range 10° ≤ 2θ ≤ 90°, sorted by position:
2θ 12.46, d = 7.106 Å, I = 100.0; 2θ 13.00, d = 6.810 Å, I = 31.0; 2θ 15.97, d = 5.550 Å, I = 31.8; 2θ 21.93, d = 4.053 Å, I = 24.7; 2θ 25.69, d = 3.468 Å, I = 29.5; 2θ 26.98, d = 3.304 Å, I = 29.3; 2θ 30.75, d = 2.907 Å, I = 40.3; 2θ 31.12, d = 2.874 Å, I = 33.1; 2θ 33.40, d = 2.683 Å, I = 25.2; 2θ 33.89, d = 2.645 Å, I = 24.5

Structural model:
```
data_KNaPb
_chemical_formula_sum 'K2 Na2 Pb2'
_space_group_name_H-M_alt 'P -1'
_space_group_IT_number 2
_cell_length_a 5.0763
_cell_length_b 6.9737
_cell_length_c 7.7053
_cell_angle_alpha 78.21
_cell_angle_beta 70.79
_cell_angle_gamma 89.85
loop_
_space_group_symop_operation_xyz
'x,y,z'
'-x,-y,-z'
loop_
_atom_site_label
_atom_site_type_symbol
_atom_site_fract_x
_atom_site_fract_y
_atom_site_fract_z
_atom_site_occupancy
K1 K 0.1270 0.3215 0.2447 1
Na1 Na 0.4144 0.2185 0.6692 1
Pb1 Pb 0.2315 0.8533 0.0386 1
```

---

Calculated powder X-ray diffraction pattern of PmGa2Pd for Cu Kα, from a structure optimized by DFT (GGA-PBE).
Intensities are scaled so that the largest is 100.

Principal peaks in the range 10° ≤ 2θ ≤ 90°, sorted by position:
2θ 26.68, d = 3.341 Å, I = 17.7; 2θ 34.47, d = 2.602 Å, I = 100.0; 2θ 34.77, d = 2.580 Å, I = 20.7; 2θ 35.41, d = 2.535 Å, I = 96.1; 2θ 37.36, d = 2.407 Å, I = 32.7; 2θ 39.82, d = 2.264 Å, I = 48.6; 2θ 42.68, d = 2.118 Å, I = 38.0; 2θ 44.30, d = 2.045 Å, I = 17.9; 2θ 55.74, d = 1.649 Å, I = 20.4; 2θ 69.47, d = 1.353 Å, I = 22.9

Structural model:
```
data_PmGa2Pd
_chemical_formula_sum 'Pm4 Ga8 Pd4'
_space_group_name_H-M_alt 'C m c m'
_space_group_IT_number 63
_space_group_name_Hall '-C 2c 2'
_cell_length_a 4.5279
_cell_length_b 10.3211
_cell_length_c 6.6820
_cell_angle_alpha 90.00
_cell_angle_beta 90.00
_cell_angle_gamma 90.00
loop_
_atom_site_label
_atom_site_type_symbol
_atom_site_fract_x
_atom_site_fract_y
_atom_site_fract_z
_atom_site_occupancy
Pm1 Pm 0.0000 0.0924 0.2500 1
Ga1 Ga 0.0000 0.3733 0.0551 1
Pd1 Pd 0.0000 0.1987 0.7500 1
```

---

Calculated powder X-ray diffraction pattern of RbPaGa2Br8 for Cu Kα, from a structure optimized by DFT (GGA-PBE).
Intensities are scaled so that the largest is 100.

Principal peaks in the range 10° ≤ 2θ ≤ 90°, sorted by position:
2θ 12.16, d = 7.281 Å, I = 23.4; 2θ 15.00, d = 5.905 Å, I = 48.7; 2θ 17.05, d = 5.202 Å, I = 100.0; 2θ 24.97, d = 3.566 Å, I = 41.2; 2θ 25.25, d = 3.527 Å, I = 32.2; 2θ 26.91, d = 3.313 Å, I = 47.6; 2θ 32.67, d = 2.741 Å, I = 21.9; 2θ 32.87, d = 2.724 Å, I = 52.9; 2θ 33.25, d = 2.694 Å, I = 29.5; 2θ 40.80, d = 2.212 Å, I = 28.0

Structural model:
```
data_RbPaGa2Br8
_chemical_formula_sum 'Rb1 Pa1 Ga2 Br8'
_space_group_name_H-M_alt 'P -1'
_space_group_IT_number 2
_cell_length_a 7.2815
_cell_length_b 7.4359
_cell_length_c 9.7166
_cell_angle_alpha 90.29
_cell_angle_beta 90.64
_cell_angle_gamma 90.24
loop_
_space_group_symop_operation_xyz
'x,y,z'
'-x,-y,-z'
loop_
_atom_site_label
_atom_site_type_symbol
_atom_site_fract_x
_atom_site_fract_y
_atom_site_fract_z
_atom_site_occupancy
Rb1 Rb 0.0000 0.0000 0.0000 1
Pa1 Pa 0.0000 0.0000 0.5000 1
Ga1 Ga 0.4985 0.4996 0.7898 1
Br1 Br 0.2042 0.6986 0.4966 1
Br2 Br 0.2222 0.1459 0.3032 1
Br3 Br 0.2270 0.1399 0.7015 1
Br4 Br 0.2769 0.6275 0.9996 1
```

---

Calculated powder X-ray diffraction pattern of Pm8GeC3 for Cu Kα, from a structure optimized by DFT (GGA-PBE).
Intensities are scaled so that the largest is 100.

Principal peaks in the range 10° ≤ 2θ ≤ 90°, sorted by position:
2θ 30.12, d = 2.967 Å, I = 33.3; 2θ 30.25, d = 2.954 Å, I = 100.0; 2θ 35.04, d = 2.561 Å, I = 75.2; 2θ 50.30, d = 1.814 Å, I = 26.3; 2θ 50.47, d = 1.808 Å, I = 26.3; 2θ 59.76, d = 1.548 Å, I = 14.8; 2θ 59.93, d = 1.543 Å, I = 43.1; 2θ 62.92, d = 1.477 Å, I = 13.5; 2θ 82.14, d = 1.173 Å, I = 11.8; 2θ 84.74, d = 1.144 Å, I = 11.9

Structural model:
```
data_Pm8GeC3
_chemical_formula_sum 'Pm8 Ge1 C3'
_space_group_name_H-M_alt 'P -3 1 m'
_space_group_IT_number 162
_space_group_name_Hall '-P 3 2'
_cell_length_a 6.2638
_cell_length_b 6.2638
_cell_length_c 8.9001
_cell_angle_alpha 90.00
_cell_angle_beta 90.00
_cell_angle_gamma 120.00
loop_
_atom_site_label
_atom_site_type_symbol
_atom_site_fract_x
_atom_site_fract_y
_atom_site_fract_z
_atom_site_occupancy
Pm1 Pm 0.0000 0.3284 0.3399 1
Pm2 Pm 0.3333 0.6667 0.0000 1
Ge1 Ge 0.0000 0.0000 0.0000 1
C1 C 0.0000 0.0000 0.5000 1
C2 C 0.3333 0.6667 0.5000 1
```

---

Calculated powder X-ray diffraction pattern of YEr4Ni2 for Cu Kα, from a structure optimized by DFT (GGA-PBE).
Intensities are scaled so that the largest is 100.

Principal peaks in the range 10° ≤ 2θ ≤ 90°, sorted by position:
2θ 31.09, d = 2.877 Å, I = 100.0; 2θ 31.50, d = 2.840 Å, I = 79.2; 2θ 31.63, d = 2.829 Å, I = 66.0; 2θ 31.90, d = 2.805 Å, I = 77.4; 2θ 34.46, d = 2.602 Å, I = 51.7; 2θ 35.33, d = 2.540 Å, I = 49.6; 2θ 35.88, d = 2.503 Å, I = 64.9; 2θ 36.76, d = 2.445 Å, I = 49.5; 2θ 37.28, d = 2.412 Å, I = 75.7; 2θ 37.82, d = 2.379 Å, I = 69.0

Structural model:
```
data_YEr4Ni2
_chemical_formula_sum 'Y2 Er8 Ni4'
_space_group_name_H-M_alt 'P 1 21/m 1'
_space_group_IT_number 11
_cell_length_a 7.5221
_cell_length_b 6.3170
_cell_length_c 7.8119
_cell_angle_alpha 90.00
_cell_angle_beta 112.20
_cell_angle_gamma 90.00
loop_
_space_group_symop_operation_xyz
'x,y,z'
'-x,-y,-z'
'-x,y+1/2,-z'
'x,-y+1/2,z'
loop_
_atom_site_label
_atom_site_type_symbol
_atom_site_fract_x
_atom_site_fract_y
_atom_site_fract_z
_atom_site_occupancy
Y1 Y 0.1501 0.2500 0.0233 1
Er1 Er 0.0257 0.2500 0.3875 1
Er2 Er 0.2547 0.7500 0.3445 1
Er3 Er 0.4084 0.0035 0.7671 1
Ni1 Ni 0.2595 0.7500 0.9937 1
Ni2 Ni 0.3813 0.2500 0.4169 1
```